Simulated X-ray powder pattern of V9NiO15 for CuKα, from a structure optimized by DFT (GGA+U).
Neutral-atom scattering factors, no anomalous dispersion.

Peak list (10 most intense, 2θ from 10° to 80°, by angle)
hkl 0 1 -2, 23.7 deg, I 49
hkl 2 -1 0, 32.5 deg, I 100
hkl 2 0 3, 35.0 deg, I 54
hkl 2 3 2, 35.1 deg, I 26
hkl 1 3 -2, 40.1 deg, I 20
hkl 0 2 -4, 48.5 deg, I 13
hkl 0 4 2, 48.6 deg, I 27
hkl 0 0 5, 53.0 deg, I 62
hkl 4 5 1, 61.3 deg, I 17
hkl -4 1 2, 70.2 deg, I 16

Atomic structure:
```
50
Lattice="7.536 0.000 0.000 3.457 8.170 0.000 2.867 0.365 8.643" Properties=species:S:1:pos:R:3 pbc="T T T"
V 2.148 1.496 4.162
V 1.012 0.379 1.038
V 2.460 2.975 0.670
V 4.172 2.221 6.195
V 5.623 4.806 5.865
V 4.487 3.741 2.769
V 7.636 5.565 7.981
V 9.118 8.160 7.600
V 7.899 7.065 4.507
V 5.960 1.470 4.136
V 4.741 0.374 1.043
V 6.223 2.970 0.662
V 9.372 4.794 5.874
V 8.236 3.728 2.778
V 9.688 6.314 2.448
V 11.399 5.560 7.973
V 12.847 8.155 7.605
V 11.711 7.039 4.481
Ni 5.943 6.312 2.403
Ni 7.916 2.223 6.240
O 2.633 4.408 2.245
O 3.833 7.108 2.381
O 1.578 1.857 2.235
O 5.786 4.742 7.951
O 7.155 7.526 8.122
O 4.758 1.864 8.047
O 6.083 7.743 4.016
O 5.022 5.214 4.027
O 4.006 2.333 4.131
O 6.361 7.744 1.027
O 4.274 2.334 1.199
O 5.344 4.777 1.211
O 6.026 2.815 5.708
O 5.060 0.391 5.713
O 7.448 5.639 5.861
O 6.411 2.896 2.782
O 8.799 8.143 2.930
O 7.833 5.720 2.935
O 8.515 3.758 7.432
O 9.585 6.200 7.444
O 7.498 0.791 7.616
O 9.853 6.202 4.512
O 8.837 3.321 4.616
O 7.776 0.792 4.627
O 9.101 6.670 0.596
O 6.704 1.008 0.521
O 8.073 3.792 0.692
O 12.281 6.677 6.408
O 10.026 1.426 6.262
O 11.227 4.127 6.398
```